# MgCoNO
Calculated PXRD pattern, λ = 1.5418 Å (Cu Kα). Input: a DFT-relaxed cell (PBE+U, OQMD).
Intensities are scaled so that the largest is 100.

Main lines, by intensity (2θ = 10–90°):
2θ 41.22, I 100
2θ 37.00, I 68
2θ 63.75, I 46
2θ 46.37, I 34
2θ 59.71, I 29
2θ 22.70, I 28

Cell and atoms:
```
MgCoNO
1.0
3.0972 0.0000 0.0000
0.0000 3.0972 0.0000
0.0000 0.0000 3.9166
Mg Co N O
1 1 1 1
direct
0.0000 0.0000 0.0000 Mg
0.5000 0.5000 0.5000 Co
0.5000 0.5000 0.0000 N
0.0000 0.0000 0.5000 O
```